Entry 1:
Starting from a structure optimized by DFT (GGA-PBE), the powder diffractogram of AlZn2Cu7 was simulated for a wavelength of 1.5418 Å.
Neutral-atom scattering factors, no anomalous dispersion.

Structure:
Lattice parameters (Å, degrees): 6.537 16.695 2.615 90.00 90.00 90.00
Space group Cmmm (No. 65)
Inequivalent atoms, fractional coordinates:
1 Al 0.000 0.000 0.000 [2 per cell]
2 Zn 0.000 0.242 0.500 [4 per cell]
3 Cu 0.000 0.369 0.000 [4 per cell]
4 Cu 0.000 0.500 0.500 [2 per cell]
5 Cu 0.188 0.108 0.500 [8 per cell]

Peak list (10 most intense, 10° ≤ 2θ ≤ 80°, in order of rising 2θ)
d (Å), intensity, h k l
4.174, 23, 0 4 0
2.615, 32, 0 0 1
2.573, 45, 2 4 0
2.225, 55, 1 3 1
2.161, 37, 3 1 0
2.087, 45, 0 8 0
1.964, 30, 1 5 1
1.906, 19, 0 6 1
1.834, 100, 2 4 1
1.825, 20, 3 5 0


Entry 2:
Starting from a structure optimized by DFT (GGA-PBE), the powder diffractogram of DyHo4Ga15 was simulated for a wavelength of 1.5418 Å.
Neutral-atom scattering factors, no anomalous dispersion.

Structure:
Lattice parameters (Å, degrees): 4.270 4.270 21.253 90.00 90.00 90.00
Space group P4/mmm (No. 123)
Inequivalent atoms, fractional coordinates:
1 Dy 0.000 0.000 0.000 [1 per cell]
2 Ho 0.000 0.000 0.200 [2 per cell]
3 Ho 0.000 0.000 0.400 [2 per cell]
4 Ga 0.000 0.500 0.100 [4 per cell]
5 Ga 0.000 0.500 0.300 [4 per cell]
6 Ga 0.000 0.500 0.500 [2 per cell]
7 Ga 0.500 0.500 0.000 [1 per cell]
8 Ga 0.500 0.500 0.200 [2 per cell]
9 Ga 0.500 0.500 0.400 [2 per cell]

Peak list (10 most intense, 10° ≤ 2θ ≤ 80°, in order of rising 2θ)
d (Å), intensity, h k l
4.264, 16, 1 0 0
3.015, 14, 1 1 0
2.462, 100, 1 1 5
2.135, 33, 2 0 0
2.125, 16, 0 0 10
1.510, 11, 2 2 0
1.506, 21, 2 0 10
1.287, 25, 3 1 5
1.283, 12, 1 1 15
1.231, 11, 2 2 10


Entry 3:
Starting from a structure optimized by DFT (GGA-PBE), the powder diffractogram of GaGePd2 was simulated for a wavelength of 1.5418 Å.
Neutral-atom scattering factors, no anomalous dispersion.

Structure:
Lattice parameters (Å, degrees): 2.9851 2.9851 24.4936 90.00 90.00 120.00
Space group R-3m (No. 166, hexagonal axes)
Inequivalent atoms, fractional coordinates:
1 Ga 0.0000 0.0000 0.0000 [3 per cell]
2 Ge 0.0000 0.0000 0.5000 [3 per cell]
3 Pd 0.0000 0.0000 0.2513 [6 per cell]

Peak list (10 most intense, 10° ≤ 2θ ≤ 80°, in order of rising 2θ)
d (Å), intensity, h k l
4.082, 5, 0 0 6
2.529, 4, 0 1 2
2.382, 100, 1 0 4
2.041, 21, 0 0 12
1.975, 57, 0 1 8
1.778, 1, 1 0 10
1.493, 23, 1 1 0
1.317, 14, 1 0 16
1.265, 13, 0 2 4
1.205, 22, 1 1 12